(1)
Starting from a DFT-relaxed cell (GGA-PBE, OQMD), the XRD peak list of NdH12Pt4 was calculated for λ = 1.5418 Å (Cu Kα).

Principal peaks in the range 15° ≤ 2θ ≤ 90°, low angle first:
two_theta  I (rel.)  (hkl)
17.7  15  1 1 0
25.2  60  2 0 0
31.0  8  2 1 1
35.9  100  2 2 0
44.3  17  2 2 2
48.1  4  3 1 2
51.7  19  4 0 0
58.3  24  4 2 0
64.5  37  4 2 2
76.1  12  4 4 0
81.6  12  6 0 0
87.1  17  6 2 0

Cell and atoms:
```
data_NdH12Pt4
_chemical_formula_sum 'Nd2 H24 Pt8'
_symmetry_space_group_name_H-M 'I m -3'
_symmetry_Int_Tables_number 204
_symmetry_space_group_name_Hall '-I 2 2 3'
_cell_length_a 7.0760
_cell_length_b 7.0760
_cell_length_c 7.0760
_cell_angle_alpha 90.00
_cell_angle_beta 90.00
_cell_angle_gamma 90.00
loop_
_atom_site_label
_atom_site_type_symbol
_atom_site_fract_x
_atom_site_fract_y
_atom_site_fract_z
Nd1 Nd 0.0000 0.0000 0.0000
H1 H 0.0000 0.2590 0.2551
Pt1 Pt 0.2500 0.2500 0.2500
```



(2)
Starting from a DFT-relaxed cell (GGA-PBE, OQMD), the XRD peak list of Cu2Ag5 was calculated for λ = 1.5418 Å (Cu Kα).

Principal peaks in the range 15° ≤ 2θ ≤ 90°, low angle first:
two_theta  I (rel.)  (hkl)
33.3  10  0 0 18
38.7  100  1 0 7
39.0  25  0 0 21
41.9  8  0 1 11
45.1  58  0 1 14
60.7  8  1 0 25
65.5  20  1 1 0
65.9  11  1 0 28
73.3  6  0 1 32
78.7  11  0 2 7
78.9  17  1 1 21
83.1  9  2 0 14

Cell and atoms:
```
data_Cu2Ag5
_chemical_formula_sum 'Cu6 Ag15'
_symmetry_space_group_name_H-M 'R -3 m'
_symmetry_Int_Tables_number 166
_symmetry_space_group_name_Hall '-R 3 2"'
_cell_length_a 2.8508
_cell_length_b 2.8508
_cell_length_c 48.4899
_cell_angle_alpha 90.00
_cell_angle_beta 90.00
_cell_angle_gamma 120.00
loop_
_atom_site_label
_atom_site_type_symbol
_atom_site_fract_x
_atom_site_fract_y
_atom_site_fract_z
Cu1 Cu 0.0000 0.0000 0.1467
Ag1 Ag 0.0000 0.0000 0.0000
Ag2 Ag 0.0000 0.0000 0.2829
Ag3 Ag 0.0000 0.0000 0.4345
```



(3)
Starting from a DFT-relaxed cell (GGA-PBE, OQMD), the XRD peak list of LaHoNi8B2 was calculated for λ = 1.5418 Å (Cu Kα).

Principal peaks in the range 15° ≤ 2θ ≤ 90°, low angle first:
two_theta  I (rel.)  (hkl)
32.8  86  1 0 2
35.5  30  1 1 0
37.9  15  1 1 1
38.7  13  0 0 3
41.3  75  2 0 0
44.3  100  1 1 2
52.4  13  0 0 4
62.1  27  2 1 2
64.9  14  1 1 4
68.8  16  2 0 4
69.9  24  3 0 2
75.3  21  2 2 0

Cell and atoms:
```
data_LaHoNi8B2
_chemical_formula_sum 'La1 Ho1 Ni8 B2'
_symmetry_space_group_name_H-M 'P 6/m m m'
_symmetry_Int_Tables_number 191
_symmetry_space_group_name_Hall '-P 6 2'
_cell_length_a 5.0508
_cell_length_b 5.0508
_cell_length_c 6.9819
_cell_angle_alpha 90.00
_cell_angle_beta 90.00
_cell_angle_gamma 120.00
loop_
_atom_site_label
_atom_site_type_symbol
_atom_site_fract_x
_atom_site_fract_y
_atom_site_fract_z
La1 La 0.0000 0.0000 0.0000
Ho1 Ho 0.0000 0.0000 0.5000
Ni1 Ni 0.0000 0.5000 0.2096
Ni2 Ni 0.3333 0.6667 0.5000
B1 B 0.3333 0.6667 0.0000
```



(4)
Starting from a DFT-relaxed cell (GGA-PBE, OQMD), the XRD peak list of Sr3IrN3 was calculated for λ = 1.5418 Å (Cu Kα).

Principal peaks in the range 15° ≤ 2θ ≤ 90°, low angle first:
two_theta  I (rel.)  (hkl)
21.4  34  1 0 1
26.7  24  2 0 0
28.7  28  1 1 1
31.7  100  2 0 1
33.9  39  0 0 2
35.6  21  2 1 0
39.6  31  1 2 1
40.6  22  3 0 0
50.0  15  2 1 2
53.9  22  3 0 2
59.3  26  2 0 3
63.3  21  2 3 1

Cell and atoms:
```
data_Sr3IrN3
_chemical_formula_sum 'Sr6 Ir2 N6'
_symmetry_space_group_name_H-M 'P 63/m'
_symmetry_Int_Tables_number 176
_symmetry_space_group_name_Hall '-P 6c'
_cell_length_a 7.6996
_cell_length_b 7.6996
_cell_length_c 5.2876
_cell_angle_alpha 90.00
_cell_angle_beta 90.00
_cell_angle_gamma 120.00
loop_
_atom_site_label
_atom_site_type_symbol
_atom_site_fract_x
_atom_site_fract_y
_atom_site_fract_z
Sr1 Sr 0.0963 0.3620 0.2500
Ir1 Ir 0.3333 0.6667 0.7500
N1 N 0.1039 0.4043 0.7500
```



(5)
Starting from a DFT-relaxed cell (GGA-PBE, OQMD), the XRD peak list of HgO4 was calculated for λ = 1.5418 Å (Cu Kα).

Principal peaks in the range 15° ≤ 2θ ≤ 90°, low angle first:
two_theta  I (rel.)  (hkl)
15.8  70  0 1 0
21.5  73  1 0 0
24.1  64  0 1 1
24.5  50  1 1 -1
26.9  100  1 1 0
29.8  69  1 0 -2
34.0  43  1 1 -2
36.9  61  0 2 1
37.3  80  1 2 -1
37.8  29  2 0 -2
39.0  40  1 1 1
40.0  72  0 1 2

Cell and atoms:
```
data_HgO4
_chemical_formula_sum 'Hg2 O8'
_symmetry_space_group_name_H-M 'P 1 2/c 1'
_symmetry_Int_Tables_number 13
_cell_length_a 5.0124
_cell_length_b 5.5975
_cell_length_c 5.9917
_cell_angle_alpha 90.00
_cell_angle_beta 124.64
_cell_angle_gamma 90.00
loop_
_symmetry_equiv_pos_as_xyz
'x,y,z'
'-x,-y,-z'
'-x,y,-z+1/2'
'x,-y,z+1/2'
loop_
_atom_site_label
_atom_site_type_symbol
_atom_site_fract_x
_atom_site_fract_y
_atom_site_fract_z
Hg1 Hg 0.0000 0.1139 0.2500
O1 O 0.3086 0.4094 0.0437
O2 O 0.3928 0.2906 0.9157
```



(6)
Starting from a DFT-relaxed cell (GGA-PBE, OQMD), the XRD peak list of Zn2H11O8 was calculated for λ = 1.5418 Å (Cu Kα).

Principal peaks in the range 15° ≤ 2θ ≤ 90°, low angle first:
two_theta  I (rel.)  (hkl)
23.6  100  1 1 0
26.0  47  0 1 1
26.5  49  1 0 1
33.0  25  0 2 0
34.3  23  2 0 0
39.0  22  0 2 1
42.8  75  1 2 1
43.6  69  2 1 1
47.9  39  1 1 2
53.6  23  0 2 2
65.2  24  2 2 2
66.3  16  2 3 1

Cell and atoms:
```
data_Zn2H11O8
_chemical_formula_sum 'Zn2 H11 O8'
_symmetry_space_group_name_H-M 'P m m 2'
_symmetry_Int_Tables_number 25
_cell_length_a 5.2217
_cell_length_b 5.4328
_cell_length_c 4.4033
_cell_angle_alpha 90.00
_cell_angle_beta 90.00
_cell_angle_gamma 90.00
loop_
_symmetry_equiv_pos_as_xyz
'x,y,z'
'-x,-y,z'
'-x,y,z'
'x,-y,z'
loop_
_atom_site_label
_atom_site_type_symbol
_atom_site_fract_x
_atom_site_fract_y
_atom_site_fract_z
Zn1 Zn 0.0000 0.0000 0.0000
Zn2 Zn 0.5000 0.5000 0.4899
H1 H 0.0000 0.5000 0.1383
H2 H 0.1492 0.1787 0.5253
H3 H 0.3309 0.3462 0.9883
H4 H 0.5000 0.0000 0.2851
H5 H 0.5000 0.0000 0.8011
O1 O 0.0000 0.2462 0.6562
O2 O 0.2383 0.5000 0.1356
O3 O 0.2703 0.0000 0.2994
O4 O 0.5000 0.2337 0.8115
```



(7)
Starting from a DFT-relaxed cell (GGA-PBE, OQMD), the XRD peak list of CuAg was calculated for λ = 1.5418 Å (Cu Kα).

Principal peaks in the range 15° ≤ 2θ ≤ 90°, low angle first:
two_theta  I (rel.)  (hkl)
33.7  13  0 0 5
39.6  100  1 0 2
40.7  21  0 0 6
42.5  12  0 1 3
46.3  54  0 1 4
62.0  9  1 0 7
66.8  20  1 1 0
68.4  10  1 0 8
75.3  8  0 1 9
80.5  11  0 2 2
81.3  15  1 1 6
85.2  9  2 0 4

Cell and atoms:
```
data_CuAg
_chemical_formula_sum 'Cu3 Ag3'
_symmetry_space_group_name_H-M 'P -3 m 1'
_symmetry_Int_Tables_number 164
_symmetry_space_group_name_Hall '-P 3 2"'
_cell_length_a 2.7995
_cell_length_b 2.7995
_cell_length_c 13.3047
_cell_angle_alpha 90.00
_cell_angle_beta 90.00
_cell_angle_gamma 120.00
loop_
_atom_site_label
_atom_site_type_symbol
_atom_site_fract_x
_atom_site_fract_y
_atom_site_fract_z
Cu1 Cu 0.0000 0.0000 0.0000
Cu2 Cu 0.3333 0.6667 0.8537
Ag1 Ag 0.0000 0.0000 0.5000
Ag2 Ag 0.3333 0.6667 0.3132
```